Theoretical powder diffraction line list
Compound: Ba2SrNp
Radiation: Cu Kα (λ = 1.5418 Å)
Structure: a structure optimized by DFT (PBE)

Cell and atoms:
Cell lengths 6.595, 6.595, 6.595 Å; angles 60.00, 60.00, 60.00 degrees
Atoms (fractional coordinates):
Ba1 0.250 0.250 0.250
Ba2 0.750 0.750 0.750
Sr1 0.000 0.000 0.000
Np1 0.500 0.500 0.500

Main lines, sorted by position (2θ = 10–90°):
two_theta	d (Å)	intensity
16.5	5.385	12
27.0	3.298	100
38.6	2.332	20
47.8	1.904	43
55.8	1.649	13
63.0	1.475	19
76.4	1.246	22
89.1	1.099	12

Theoretical powder diffraction line list
Compound: Ba2SrNp
Radiation: Cu Kα (λ = 1.5418 Å)
Structure: a structure optimized by DFT (PBE)

Cell and atoms:
Cell lengths 6.254, 6.289, 6.305 Å; angles 60.12, 61.15, 61.19 degrees
Atoms (fractional coordinates):
Ba1 0.250 0.249 0.249
Ba2 0.750 0.751 0.751
Sr1 0.500 0.500 0.500
Np1 0.000 0.000 0.000

Main lines, sorted by position (2θ = 10–90°):
two_theta	d (Å)	intensity
17.1	5.181	19
27.9	3.192	69
28.3	3.150	100
28.6	3.126	33
39.8	2.263	13
40.6	2.220	25
49.9	1.828	21
50.2	1.817	14